Simulated powder XRD pattern of Ho2ErFe6Co2Ni for copper Kα, from DFT lattice parameters and positions (GGA-PBE).
Peak positions follow from Bragg's law for the DFT cell and can differ from measured ones.

Atomic structure:
```
data_Ho2ErFe6Co2Ni
_chemical_formula_sum 'Ho6 Er3 Fe18 Co6 Ni3'
_space_group_name_H-M_alt 'R -3 m'
_space_group_IT_number 166
_space_group_name_Hall '-R 3 2"'
_cell_length_a 4.9747
_cell_length_b 4.9747
_cell_length_c 24.5610
_cell_angle_alpha 90.00
_cell_angle_beta 90.00
_cell_angle_gamma 120.00
loop_
_atom_site_label
_atom_site_fract_x
_atom_site_fract_y
_atom_site_fract_z
Ho1 0.0000 0.0000 0.1417
Er1 0.0000 0.0000 0.0000
Fe1 0.0020 0.5010 0.9188
Co1 0.0000 0.0000 0.3329
Ni1 0.0000 0.0000 0.5000
```

The 8 most intense peaks (2θ from 10° to 90°), most intense first:
| 2theta | d [Å] | intensity |
| --- | --- | --- |
| 42.54 | 2.125 | 100 |
| 36.11 | 2.487 | 52 |
| 32.92 | 2.721 | 47 |
| 35.92 | 2.500 | 35 |
| 42.11 | 2.146 | 33 |
| 69.35 | 1.355 | 20 |
| 76.61 | 1.244 | 18 |
| 62.92 | 1.477 | 15 |